Calculated PXRD pattern
Compound: HoAu
Radiation: copper Kα
Structure: a PBE-relaxed structure

Crystal structure
Cell: 3.693 10.977 4.679 Å, 90.00 90.00 90.00°
Space group Cmcm (No. 63)
Symmetry-distinct sites (fractional):
Ho (0.000, 0.139, 0.250) [4 per cell]
Au (0.000, 0.412, 0.250) [4 per cell]

Largest 6 diffraction maxima, by angle, 2θ = 10–80°:
h k l  2θ/deg  intensity
1 1 1  31.93  100
0 4 0  32.63  33
0 4 1  38.01  29
0 0 2  38.48  38
1 3 1  39.67  83
2 0 0  49.36  19

Calculated PXRD pattern
Compound: HoAu6
Radiation: copper Kα
Structure: a PBE-relaxed structure

Crystal structure
Cell: 10.505 10.505 9.932 Å, 90.00 90.00 90.00°
Space group P4_2/ncm (No. 138, origin choice 2)
Symmetry-distinct sites (fractional):
Ho (0.075, 0.075, 0.212) [8 per cell]
Au (0.000, 0.000, 0.500) [4 per cell]
Au (0.013, 0.679, 0.579) [16 per cell]
Au (0.122, 0.700, 0.855) [16 per cell]
Au (0.148, 0.148, 0.680) [8 per cell]
Au (0.250, 0.250, 0.432) [4 per cell]

Largest 6 diffraction maxima, by angle, 2θ = 10–80°:
h k l  2θ/deg  intensity
4 1 1  36.40  69
1 0 4  37.21  46
3 3 1  37.43  77
3 1 3  38.39  50
4 0 2  38.79  32
4 1 2  39.76  100

Calculated PXRD pattern
Compound: HoAu
Radiation: copper Kα
Structure: a PBE-relaxed structure

Crystal structure
Cell: 3.591 3.591 3.591 Å, 90.00 90.00 90.00°
Space group Pm-3m (No. 221)
Symmetry-distinct sites (fractional):
Ho (0.000, 0.000, 0.000) [1 per cell]
Au (0.500, 0.500, 0.500) [1 per cell]

Largest 6 diffraction maxima, by angle, 2θ = 10–80°:
h k l  2θ/deg  intensity
1 0 0  24.79  1
1 1 0  35.35  100
2 0 0  50.85  18
2 1 0  57.37  1
2 1 1  63.45  37
2 2 0  74.77  12

Calculated PXRD pattern
Compound: Ho2Au
Radiation: copper Kα
Structure: a PBE-relaxed structure

Crystal structure
Cell: 7.084 4.948 8.917 Å, 90.00 90.00 90.00°
Space group Pnma (No. 62)
Symmetry-distinct sites (fractional):
Ho (0.013, 0.250, 0.176) [4 per cell]
Ho (0.149, 0.250, 0.581) [4 per cell]
Au (0.241, 0.250, 0.901) [4 per cell]

Largest 6 diffraction maxima, by angle, 2θ = 10–80°:
h k l  2θ/deg  intensity
1 1 2  29.78  55
2 1 0  31.05  25
2 1 1  32.67  100
0 1 3  35.22  64
0 2 0  36.31  55
2 1 3  43.72  40

Calculated PXRD pattern
Compound: Ho2IrAu
Radiation: copper Kα
Structure: a PBE-relaxed structure

Crystal structure
Cell: 6.994 6.994 6.994 Å, 90.00 90.00 90.00°
Space group Fm-3m (No. 225)
Symmetry-distinct sites (fractional):
Ho (0.250, 0.250, 0.250) [8 per cell]
Ir (0.000, 0.000, 0.000) [4 per cell]
Au (0.000, 0.000, 0.500) [4 per cell]

Largest 5 diffraction maxima, by angle, 2θ = 10–80°:
h k l  2θ/deg  intensity
2 0 0  25.47  1
2 2 0  36.33  100
4 0 0  52.32  18
4 2 2  65.36  37
4 4 0  77.14  12

Calculated PXRD pattern
Compound: LiHoAu2
Radiation: copper Kα
Structure: a PBE-relaxed structure

Crystal structure
Cell: 6.858 6.858 6.858 Å, 90.00 90.00 90.00°
Space group Fm-3m (No. 225)
Symmetry-distinct sites (fractional):
Li (0.000, 0.000, 0.000) [4 per cell]
Ho (0.000, 0.000, 0.500) [4 per cell]
Au (0.250, 0.250, 0.250) [8 per cell]

Largest 6 diffraction maxima, by angle, 2θ = 10–80°:
h k l  2θ/deg  intensity
1 1 1  22.46  19
2 0 0  25.99  20
2 2 0  37.08  100
4 0 0  53.45  18
4 2 2  66.84  36
4 4 0  78.98  12

Calculated PXRD pattern
Compound: HoLuAu2
Radiation: copper Kα
Structure: a PBE-relaxed structure

Crystal structure
Cell: 7.124 7.124 7.124 Å, 90.00 90.00 90.00°
Space group Fm-3m (No. 225)
Symmetry-distinct sites (fractional):
Ho (0.000, 0.000, 0.000) [4 per cell]
Lu (0.000, 0.000, 0.500) [4 per cell]
Au (0.250, 0.250, 0.250) [8 per cell]

Largest 5 diffraction maxima, by angle, 2θ = 10–80°:
h k l  2θ/deg  intensity
2 0 0  25.00  1
2 2 0  35.64  100
4 0 0  51.29  18
4 2 2  64.03  37
4 4 0  75.48  12

Calculated PXRD pattern
Compound: HoPbAu
Radiation: copper Kα
Structure: a PBE-relaxed structure

Crystal structure
Cell: 6.831 6.831 6.831 Å, 90.00 90.00 90.00°
Space group F-43m (No. 216)
Symmetry-distinct sites (fractional):
Ho (0.000, 0.000, 0.000) [4 per cell]
Pb (0.000, 0.000, 0.500) [4 per cell]
Au (0.250, 0.250, 0.750) [4 per cell]

Largest 6 diffraction maxima, by angle, 2θ = 10–80°:
h k l  2θ/deg  intensity
1 1 1  22.55  30
2 2 0  37.23  100
3 1 1  43.96  16
4 0 0  53.67  18
4 2 2  67.13  37
4 4 0  79.35  12

Calculated PXRD pattern
Compound: HoSi2Au2
Radiation: copper Kα
Structure: a PBE-relaxed structure

Crystal structure
Cell: 4.258 4.258 10.273 Å, 90.00 90.00 90.00°
Space group I4/mmm (No. 139)
Symmetry-distinct sites (fractional):
Ho (0.000, 0.000, 0.000) [2 per cell]
Si (0.000, 0.000, 0.388) [4 per cell]
Au (0.000, 0.500, 0.250) [4 per cell]

Largest 6 diffraction maxima, by angle, 2θ = 10–80°:
h k l  2θ/deg  intensity
0 0 2  17.26  20
1 1 2  34.53  100
0 0 4  34.93  19
2 0 0  42.46  33
2 0 4  56.11  20
3 1 2  72.58  24

Calculated PXRD pattern
Compound: HoSnAu
Radiation: copper Kα
Structure: a PBE-relaxed structure

Crystal structure
Cell: 6.718 6.718 6.718 Å, 90.00 90.00 90.00°
Space group F-43m (No. 216)
Symmetry-distinct sites (fractional):
Ho (0.000, 0.000, 0.000) [4 per cell]
Sn (0.000, 0.000, 0.500) [4 per cell]
Au (0.250, 0.250, 0.250) [4 per cell]

Largest 6 diffraction maxima, by angle, 2θ = 10–80°:
h k l  2θ/deg  intensity
1 1 1  22.93  42
2 2 0  37.88  100
3 1 1  44.74  22
4 0 0  54.64  18
3 3 1  60.02  9
4 2 2  68.41  36

Calculated PXRD pattern
Compound: HoSnAu
Radiation: copper Kα
Structure: a PBE-relaxed structure

Crystal structure
Cell: 4.7179 4.7179 7.3931 Å, 90.00 90.00 120.00°
Space group P6_3/mmc (No. 194)
Symmetry-distinct sites (fractional):
Ho (0.0000, 0.0000, 0.0000) [2 per cell]
Sn (0.3333, 0.6667, 0.2500) [2 per cell]
Au (0.3333, 0.6667, 0.7500) [2 per cell]

Largest 6 diffraction maxima, by angle, 2θ = 10–80°:
h k l  2θ/deg  intensity
1 0 2  32.67  100
1 1 0  38.15  74
2 0 2  51.08  29
1 1 4  64.00  33
2 1 2  65.51  28
3 0 0  68.95  13

Calculated PXRD pattern
Compound: Ho2SnAu2
Radiation: copper Kα
Structure: a PBE-relaxed structure

Crystal structure
Cell: 8.348 8.348 3.558 Å, 90.00 90.00 90.00°
Space group P4/mbm (No. 127)
Symmetry-distinct sites (fractional):
Ho (0.163, 0.337, 0.000) [4 per cell]
Sn (0.000, 0.000, 0.000) [2 per cell]
Au (0.129, 0.629, 0.500) [4 per cell]

Largest 6 diffraction maxima, by angle, 2θ = 10–80°:
h k l  2θ/deg  intensity
1 1 0  15.01  15
1 1 1  29.31  14
3 1 0  33.96  46
2 1 1  34.83  100
4 4 0  63.00  22
5 2 1  65.70  19